The following is a computed X-ray powder pattern of Co2Te3O8. It was derived from a crystal structure in Alexandria, relaxed with PBE+U, using Cu Ka.

Crystal structure
abc: 12.871 5.289 11.721
angles: 90.00 98.80 90.00
Space group C2/c (No. 15)
Inequivalent atoms, fractional coordinates:
Co  0.230  0.196  0.351 [8 per cell]
Te  0.000  0.153  0.750 [4 per cell]
Te  0.137  0.190  0.055 [8 per cell]
O  0.080  0.071  0.357 [8 per cell]
O  0.114  0.127  0.638 [8 per cell]
O  0.197  0.365  0.192 [8 per cell]
O  0.237  0.492  0.971 [8 per cell]

Main lines, most intense first (15° ≤ 2θ ≤ 90°):
d 2.946, I = 100; d 3.286, I = 97; d 4.884, I = 59; d 3.989, I = 46; d 2.802, I = 39; d 2.987, I = 31; d 4.598, I = 25; d 2.192, I = 21